# Li15Mg4Zn
Calculated powder diffractogram, copper Kα. Input: a structure optimized by DFT (PBE).
Lines closer than 0.1° are merged.

```
data_Li15Mg4Zn
_chemical_formula_sum 'Li15 Mg4 Zn1'
_cell_length_a 4.4634
_cell_length_b 4.4634
_cell_length_c 19.4345
_cell_angle_alpha 90.00
_cell_angle_beta 90.00
_cell_angle_gamma 90.00
_space_group_name_H-M_alt 'P 4/m m m'
_space_group_IT_number 123
_space_group_name_Hall '-P 4 2'
loop_
_atom_site_label
_atom_site_fract_x
_atom_site_fract_y
_atom_site_fract_z
Li1 0.0000 0.0000 0.0000
Li2 0.0000 0.0000 0.1900
Li3 0.0000 0.0000 0.3974
Li4 0.0000 0.5000 0.0862
Li5 0.0000 0.5000 0.2937
Li6 0.0000 0.5000 0.5000
Mg1 0.5000 0.5000 0.1893
Mg2 0.5000 0.5000 0.3976
Zn1 0.5000 0.5000 0.0000
```

The 6 most intense peaks (2θ from 10° to 80°), sorted by position:
| (hkl) | 2θ/deg | I (rel.) |
| --- | --- | --- |
| 1 0 0 | 19.9 | 895 |
| 0 0 5 | 22.9 | 314 |
| 1 1 0 | 28.3 | 373 |
| 1 0 5 | 30.5 | 592 |
| 1 1 5 | 36.7 | 1000 |
| 2 0 0 | 40.4 | 397 |

=====

# LaCrHg
Calculated powder diffractogram, copper Kα. Input: a structure optimized by DFT (PBE).
Lines closer than 0.1° are merged.

```
data_LaCrHg
_chemical_formula_sum 'La1 Cr1 Hg1'
_cell_length_a 4.9340
_cell_length_b 4.9340
_cell_length_c 3.6685
_cell_angle_alpha 90.00
_cell_angle_beta 90.00
_cell_angle_gamma 120.00
_space_group_name_H-M_alt 'P -6 m 2'
_space_group_IT_number 187
_space_group_name_Hall 'P -6 2'
loop_
_atom_site_label
_atom_site_fract_x
_atom_site_fract_y
_atom_site_fract_z
La1 0.0000 0.0000 0.0000
Cr1 0.6667 0.3333 0.5000
Hg1 0.3333 0.6667 0.5000
```

The 6 most intense peaks (2θ from 10° to 80°), sorted by position:
| (hkl) | 2θ/deg | I (rel.) |
| --- | --- | --- |
| 1 0 0 | 20.8 | 262 |
| 1 0 1 | 32.2 | 1000 |
| 1 1 0 | 36.4 | 640 |
| 2 0 1 | 49.4 | 304 |
| 2 1 1 | 62.9 | 295 |
| 1 1 2 | 63.2 | 254 |

=====

# V2SbPH
Calculated powder diffractogram, copper Kα. Input: a structure optimized by DFT (PBE).
Lines closer than 0.1° are merged.

```
data_V2SbPH
_chemical_formula_sum 'V2 Sb1 P1 H1'
_cell_length_a 4.5725
_cell_length_b 4.5725
_cell_length_c 5.1619
_cell_angle_alpha 90.00
_cell_angle_beta 90.00
_cell_angle_gamma 90.00
_space_group_name_H-M_alt 'P 4/m m m'
_space_group_IT_number 123
_space_group_name_Hall '-P 4 2'
loop_
_atom_site_label
_atom_site_fract_x
_atom_site_fract_y
_atom_site_fract_z
V1 0.0000 0.5000 0.0000
Sb1 0.0000 0.0000 0.5000
P1 0.0000 0.0000 0.0000
H1 0.5000 0.5000 0.5000
```

The 6 most intense peaks (2θ from 10° to 80°), sorted by position:
| (hkl) | 2θ/deg | I (rel.) |
| --- | --- | --- |
| 1 0 0 | 19.4 | 1000 |
| 1 0 1 | 26.0 | 320 |
| 1 1 1 | 32.7 | 868 |
| 0 0 2 | 34.8 | 318 |
| 2 0 0 | 39.4 | 442 |
| 2 0 2 | 53.5 | 344 |